Record 1
Diffraction record for TmMgSbPb2O6. The powder X-ray diffraction pattern is theoretical, not measured: it uses a structure optimized by DFT (GGA-PBE) and Cu Kα (weighted mean of Kα1 and Kα2).

Crystal structure
Cell: 5.8144 5.8144 20.1705 Å, 90.00 90.00 120.00°
Space group R3 (No. 146, hexagonal axes)
Unique sites:
Tm (0.0000, 0.0000, 0.0000)
Mg (0.0000, 0.0000, 0.6331)
Sb (0.0000, 0.0000, 0.4234)
Pb (0.0000, 0.0000, 0.2601)
Pb (0.0000, 0.0000, 0.8466)
O (0.0102, 0.7161, 0.3706)
O (0.0965, 0.3522, 0.5907)

Most intense lines, 10 to 90 degrees two-theta, most intense first:
30.8 deg, I 100, (1 1 0)
28.3 deg, I 76, (0 1 5)
19.7 deg, I 59, (0 1 2)
35.9 deg, I 56, (1 0 7)
64.0 deg, I 35, (2 2 0)
54.7 deg, I 32, (3 0 0)
42.3 deg, I 32, (2 0 5)
53.2 deg, I 31, (3 -2 5)

=====

Record 2
Diffraction record for SmCo2P2. The powder X-ray diffraction pattern is theoretical, not measured: it uses a structure optimized by DFT (GGA-PBE) and Cu Kα (weighted mean of Kα1 and Kα2).

Crystal structure
Cell: 3.8779 3.8779 9.5941 Å, 90.00 90.00 90.00°
Space group I4/mmm (No. 139)
Unique sites:
Sm (0.0000, 0.0000, 0.0000)
Co (0.0000, 0.5000, 0.2500)
P (0.0000, 0.0000, 0.3694)

Most intense lines, 10 to 90 degrees two-theta, most intense first:
37.8 deg, I 100, (1 1 2)
36.4 deg, I 59, (1 0 3)
24.8 deg, I 46, (1 0 1)
46.9 deg, I 41, (2 0 0)
60.8 deg, I 26, (2 1 3)
80.9 deg, I 20, (3 1 2)
67.8 deg, I 19, (1 1 6)
53.3 deg, I 17, (1 0 5)

=====

Record 3
Diffraction record for Te2W2SeS. The powder X-ray diffraction pattern is theoretical, not measured: it uses a structure optimized by DFT (GGA-PBE) and Cu Kα (weighted mean of Kα1 and Kα2).

Crystal structure
Cell: 3.3984 3.3984 39.0812 Å, 90.00 90.00 120.00°
Space group P3m1 (No. 156)
Unique sites:
Te (0.0000, 0.0000, 0.0000)
Te (0.0000, 0.0000, 0.0964)
Te (0.3333, 0.6667, 0.1882)
Te (0.3333, 0.6667, 0.2846)
W (0.0000, 0.0000, 0.2365)
W (0.0000, 0.0000, 0.8605)
W (0.3333, 0.6667, 0.0482)
W (0.3333, 0.6667, 0.4242)
Se (0.0000, 0.0000, 0.3818)
Se (0.0000, 0.0000, 0.4665)
S (0.3333, 0.6667, 0.8220)
S (0.3333, 0.6667, 0.8991)

Most intense lines, 10 to 90 degrees two-theta, most intense first:
11.3 deg, I 100, (0 0 5)
35.6 deg, I 79, (1 0 8)
43.0 deg, I 46, (0 1 13)
30.4 deg, I 42, (1 0 0)
54.0 deg, I 31, (1 1 0)
36.9 deg, I 21, (0 0 16)
44.7 deg, I 15, (1 0 14)
13.6 deg, I 15, (0 0 6)

=====

Record 4
Diffraction record for YMg6Al. The powder X-ray diffraction pattern is theoretical, not measured: it uses a structure optimized by DFT (GGA-PBE) and Cu Kα (weighted mean of Kα1 and Kα2).

Crystal structure
Cell: 5.0179 6.5837 11.3226 Å, 90.00 90.00 90.00°
Space group Amm2 (No. 38)
Unique sites:
Y (0.0000, 0.0000, 0.0000)
Mg (0.0000, 0.0000, 0.4905)
Mg (0.0000, 0.2432, 0.2444)
Mg (0.5000, 0.0000, 0.6585)
Mg (0.5000, 0.2423, 0.4066)
Al (0.5000, 0.0000, 0.1569)

Most intense lines, 10 to 90 degrees two-theta, most intense first:
36.3 deg, I 100, (1 2 2)
36.4 deg, I 56, (1 0 4)
15.6 deg, I 47, (0 1 1)
23.7 deg, I 38, (1 0 2)
35.8 deg, I 36, (2 0 0)
31.4 deg, I 33, (0 2 2)
64.7 deg, I 27, (3 0 4)
56.2 deg, I 21, (0 2 6)

=====

Record 5
Diffraction record for CsThO3. The powder X-ray diffraction pattern is theoretical, not measured: it uses a structure optimized by DFT (GGA-PBE) and Cu Kα (weighted mean of Kα1 and Kα2).

Crystal structure
Cell: 4.5753 4.5753 4.5753 Å, 90.00 90.00 90.00°
Space group Pm-3m (No. 221)
Unique sites:
Cs (0.0000, 0.0000, 0.0000)
Th (0.5000, 0.5000, 0.5000)
O (0.0000, 0.5000, 0.5000)

Most intense lines, 10 to 90 degrees two-theta, most intense first:
27.6 deg, I 100, (1 1 0)
48.8 deg, I 43, (2 1 1)
39.4 deg, I 28, (2 0 0)
78.2 deg, I 23, (3 2 1)
64.4 deg, I 19, (3 1 0)
56.9 deg, I 19, (2 2 0)
19.4 deg, I 12, (1 0 0)
44.3 deg, I 6, (2 1 0)

=====

Record 6
Diffraction record for CaTi3P3O13. The powder X-ray diffraction pattern is theoretical, not measured: it uses a structure optimized by DFT (GGA-PBE) and Cu Kα (weighted mean of Kα1 and Kα2).

Crystal structure
Cell: 7.7550 6.4736 10.4055 Å, 90.00 99.78 90.00°
Space group P2_1/m (No. 11)
Unique sites:
Ca (0.1503, 0.2500, 0.1914)
Ti (0.1488, 0.2500, 0.8001)
Ti (0.2926, 0.7500, 0.4364)
Ti (0.5000, 0.0000, 0.0000)
P (0.1822, 0.7500, 0.1153)
P (0.2371, 0.7500, 0.7615)
P (0.2807, 0.2500, 0.5093)
O (0.0049, 0.2500, 0.9650)
O (0.1211, 0.5635, 0.7853)
O (0.1400, 0.7500, 0.2576)
O (0.1592, 0.2500, 0.6099)
O (0.2506, 0.0615, 0.4163)
O (0.2849, 0.7500, 0.6249)
O (0.2867, 0.5511, 0.0973)
O (0.3664, 0.2500, 0.9049)
O (0.4094, 0.7500, 0.8650)
O (0.4741, 0.2500, 0.5839)

Most intense lines, 10 to 90 degrees two-theta, most intense first:
27.6 deg, I 100, (0 2 0)
19.1 deg, I 92, (1 0 -2)
23.3 deg, I 71, (2 0 0)
22.5 deg, I 58, (1 0 2)
30.4 deg, I 57, (1 0 3)
29.6 deg, I 50, (0 1 3)
31.8 deg, I 48, (1 2 1)
36.4 deg, I 41, (2 2 0)

=====

Record 7
Diffraction record for ScTlRh2. The powder X-ray diffraction pattern is theoretical, not measured: it uses a structure optimized by DFT (GGA-PBE) and Cu Kα (weighted mean of Kα1 and Kα2).

Crystal structure
Cell: 6.5199 6.5199 6.5199 Å, 90.00 90.00 90.00°
Space group Fm-3m (No. 225)
Unique sites:
Sc (0.0000, 0.0000, 0.0000)
Tl (0.0000, 0.0000, 0.5000)
Rh (0.2500, 0.2500, 0.2500)

Most intense lines, 10 to 90 degrees two-theta, most intense first:
39.1 deg, I 100, (2 2 0)
70.8 deg, I 34, (4 2 2)
23.6 deg, I 27, (1 1 1)
56.5 deg, I 17, (4 0 0)
46.2 deg, I 15, (3 1 1)
84.0 deg, I 11, (4 4 0)
62.0 deg, I 6, (3 3 1)
88.8 deg, I 5, (5 3 1)

=====

Record 8
Diffraction record for Lu2Si3Pd. The powder X-ray diffraction pattern is theoretical, not measured: it uses a structure optimized by DFT (GGA-PBE) and Cu Kα (weighted mean of Kα1 and Kα2).

Crystal structure
Cell: 3.8667 4.1225 6.9891 Å, 90.00 90.00 90.00°
Space group Pmm2 (No. 25)
Unique sites:
Lu (0.0000, 0.0000, 0.0000)
Lu (0.0000, 0.5000, 0.4881)
Si (0.5000, 0.0000, 0.3262)
Si (0.5000, 0.5000, 0.1587)
Si (0.5000, 0.5000, 0.8273)
Pd (0.5000, 0.0000, 0.6610)

Most intense lines, 10 to 90 degrees two-theta, most intense first:
34.3 deg, I 100, (1 1 1)
34.6 deg, I 49, (1 0 2)
25.1 deg, I 36, (0 1 1)
44.7 deg, I 34, (0 1 3)
57.1 deg, I 23, (1 2 2)
66.9 deg, I 21, (2 1 3)
43.9 deg, I 18, (0 2 0)
25.5 deg, I 17, (0 0 2)

=====

Record 9
Diffraction record for HoMnCu4P3. The powder X-ray diffraction pattern is theoretical, not measured: it uses a structure optimized by DFT (GGA-PBE) and Cu Kα (weighted mean of Kα1 and Kα2).

Crystal structure
Cell: 12.5243 3.7718 10.8391 Å, 90.00 90.00 90.00°
Space group Pnma (No. 62)
Unique sites:
Ho (0.2075, 0.2500, 0.0841)
Mn (0.0219, 0.7500, 0.7139)
Cu (0.0058, 0.7500, 0.0871)
Cu (0.0652, 0.7500, 0.4628)
Cu (0.1822, 0.2500, 0.7859)
Cu (0.1925, 0.2500, 0.3745)
P (0.1171, 0.7500, 0.9059)
P (0.1210, 0.2500, 0.5849)
P (0.1240, 0.7500, 0.2578)

Most intense lines, 10 to 90 degrees two-theta, most intense first:
37.3 deg, I 100, (4 1 0)
50.5 deg, I 22, (6 0 3)
48.3 deg, I 20, (0 2 0)
72.4 deg, I 14, (6 2 3)
46.7 deg, I 12, (3 1 4)
36.1 deg, I 12, (3 1 2)
26.0 deg, I 11, (1 1 1)
82.7 deg, I 9, (4 3 0)

=====

Record 10
Diffraction record for Mg6Si5. The powder X-ray diffraction pattern is theoretical, not measured: it uses a structure optimized by DFT (GGA-PBE) and Cu Kα (weighted mean of Kα1 and Kα2).

Crystal structure
Cell: 5.5340 6.5340 12.2690 Å, 80.33 79.55 89.50°
Space group P1 (No. 1)
Unique sites:
Mg (0.0000, 0.0000, 0.0000)
Mg (0.0113, 0.9703, 0.4450)
Mg (0.0517, 0.3937, 0.7925)
Mg (0.1191, 0.7698, 0.2310)
Mg (0.1631, 0.9026, 0.7442)
Mg (0.2645, 0.5150, 0.0029)
Mg (0.3621, 0.6261, 0.5552)
Mg (0.3813, 0.3849, 0.3266)
Mg (0.5414, 0.1625, 0.8510)
Mg (0.5700, 0.8991, 0.3225)
Mg (0.8295, 0.4562, 0.4334)
Mg (0.9503, 0.2497, 0.2136)
Si (0.0599, 0.2472, 0.5958)
Si (0.4470, 0.1040, 0.5129)
Si (0.4497, 0.1661, 0.1301)
Si (0.4811, 0.8592, 0.0427)
Si (0.4981, 0.5803, 0.7675)
Si (0.7010, 0.0036, 0.6560)
Si (0.7287, 0.6334, 0.1595)
Si (0.7357, 0.7274, 0.8829)
Si (0.7809, 0.3953, 0.0103)
Si (0.8535, 0.6529, 0.6200)

Most intense lines, 10 to 90 degrees two-theta, most intense first:
38.4 deg, I 100, (1 0 5)
36.2 deg, I 93, (2 1 0)
35.1 deg, I 92, (1 2 3)
38.9 deg, I 54, (0 2 -3)
37.0 deg, I 53, (1 0 -4)
37.2 deg, I 53, (2 -1 2)
32.6 deg, I 45, (1 1 4)
38.7 deg, I 45, (2 1 -1)

=====

Record 11
Diffraction record for Pm2CuGe. The powder X-ray diffraction pattern is theoretical, not measured: it uses a structure optimized by DFT (GGA-PBE) and Cu Kα (weighted mean of Kα1 and Kα2).

Crystal structure
Cell: 7.2156 7.2156 7.2156 Å, 90.00 90.00 90.00°
Space group Fm-3m (No. 225)
Unique sites:
Pm (0.2500, 0.2500, 0.2500)
Cu (0.0000, 0.0000, 0.0000)
Ge (0.0000, 0.0000, 0.5000)

Most intense lines, 10 to 90 degrees two-theta, most intense first:
35.2 deg, I 100, (2 2 0)
63.1 deg, I 36, (4 2 2)
50.6 deg, I 18, (4 0 0)
85.0 deg, I 16, (6 2 0)
24.7 deg, I 14, (2 0 0)
74.4 deg, I 11, (4 4 0)
57.1 deg, I 6, (4 2 0)
43.4 deg, I 4, (2 2 2)

=====

Record 12
Diffraction record for Cs2KMoBr6. The powder X-ray diffraction pattern is theoretical, not measured: it uses a structure optimized by DFT (GGA-PBE) and Cu Kα (weighted mean of Kα1 and Kα2).

Crystal structure
Cell: 11.5749 11.5749 11.5749 Å, 90.00 90.00 90.00°
Space group Fm-3m (No. 225)
Unique sites:
Cs (0.2500, 0.2500, 0.2500)
K (0.0000, 0.0000, 0.0000)
Mo (0.0000, 0.0000, 0.5000)
Br (0.0000, 0.0000, 0.2739)

Most intense lines, 10 to 90 degrees two-theta, most intense first:
30.9 deg, I 100, (4 0 0)
26.7 deg, I 92, (2 2 2)
44.3 deg, I 67, (4 4 0)
21.7 deg, I 41, (2 2 0)
52.4 deg, I 34, (6 2 2)
73.1 deg, I 25, (8 4 0)
13.2 deg, I 23, (1 1 1)
55.0 deg, I 22, (4 4 4)